Diffraction record for LaMnFe3Bi3O12. The powder diffractogram is theoretical, not measured: it uses a crystal structure in Alexandria, relaxed with PBE+U and CuKα.
Neutral-atom scattering factors, no anomalous dispersion.

Most intense lines, 10° ≤ 2θ ≤ 90°, in order of rising 2θ:
2θ = 22.19°, intensity 32; 2θ = 22.74°, intensity 53; 2θ = 31.93°, intensity 100; 2θ = 32.05°, intensity 99; 2θ = 32.20°, intensity 41; 2θ = 32.56°, intensity 48; 2θ = 39.76°, intensity 31; 2θ = 45.28°, intensity 25; 2θ = 46.45°, intensity 50; 2θ = 56.85°, intensity 34

Crystal structure
Cell: 9.775 5.499 9.727 Å, 90.00 110.47 90.00°
Space group Cm (No. 8)
One atom of each set of equivalent atoms:
La  0.000  0.000  0.000 (multiplicity 2)
Mn  0.376  0.000  0.126 (multiplicity 2)
Fe  0.122  0.000  0.378 (multiplicity 2)
Fe  0.127  0.500  0.873 (multiplicity 2)
Fe  0.373  0.500  0.628 (multiplicity 2)
Bi  0.261  0.500  0.267 (multiplicity 2)
Bi  0.265  0.000  0.760 (multiplicity 2)
Bi  0.480  0.000  0.487 (multiplicity 2)
O  0.043  0.000  0.542 (multiplicity 2)
O  0.059  0.500  0.047 (multiplicity 2)
O  0.197  0.000  0.217 (multiplicity 2)
O  0.206  0.500  0.709 (multiplicity 2)
O  0.275  0.244  0.474 (multiplicity 4)
O  0.279  0.240  0.974 (multiplicity 4)
O  0.467  0.252  0.277 (multiplicity 4)
O  0.471  0.247  0.777 (multiplicity 4)